# MgNpAlZn
Simulated X-ray diffraction stick pattern, Cu Kα X-rays. Input: a crystal structure in Alexandria, relaxed with PBE.
Intensities are scaled so that the largest is 100.

```
data_MgNpAlZn
_cell_length_a 6.8886
_cell_length_b 6.8886
_cell_length_c 6.8886
_cell_angle_alpha 90.00
_cell_angle_beta 90.00
_cell_angle_gamma 90.00
_symmetry_space_group_name_H-M 'F -4 3 m'
_symmetry_Int_Tables_number 216
_symmetry_space_group_name_Hall 'F -4 2 3'
loop_
_atom_site_label
_atom_site_fract_x
_atom_site_fract_y
_atom_site_fract_z
Mg1 0.0000 0.0000 0.0000
Np1 0.0000 0.0000 0.5000
Al1 0.2500 0.2500 0.7500
Zn1 0.2500 0.2500 0.2500
```

Principal peaks in the range 10 to 80 degrees two-theta, in order of rising 2θ:
Position (°2θ)	intensity
22.35	81
25.87	24
36.91	100
43.58	45
53.19	18
58.39	19
60.06	10
66.49	36
71.11	15
78.55	11